Record 1
The following is a theoretical powder X-ray diffraction pattern of NdTm9Th2. It was derived from a crystal structure in Alexandria, relaxed with GGA-PBE, using Cu Kα (weighted mean of Kα1 and Kα2).

Structure:
Lattice parameters (Å, degrees): 4.9733 4.9733 14.9696 90.00 90.00 90.00
Sites, in units of the cell vectors:
Nd1 0.0000 0.0000 0.0000
Tm1 0.0000 0.5000 0.1698
Tm2 0.0000 0.5000 0.5000
Tm3 0.0000 0.5000 0.8302
Tm4 0.5000 0.0000 0.1698
Tm5 0.5000 0.0000 0.5000
Tm6 0.5000 0.0000 0.8302
Tm7 0.5000 0.5000 0.0000
Tm8 0.5000 0.5000 0.3339
Tm9 0.5000 0.5000 0.6661
Th1 0.0000 0.0000 0.3343
Th2 0.0000 0.0000 0.6657

Most intense lines, 2θ from 10° to 90°, by angle:
2θ 31.11, rel. 1000; 2θ 36.00, rel. 169; 2θ 36.12, rel. 337; 2θ 51.95, rel. 361; 2θ 61.69, rel. 143; 2θ 61.86, rel. 287; 2θ 64.88, rel. 124; 2θ 84.85, rel. 120; 2θ 85.00, rel. 61; 2θ 87.74, rel. 114



Record 2
The following is a theoretical powder X-ray diffraction pattern of Rb3Ge2Bi2. It was derived from a crystal structure in Alexandria, relaxed with GGA-PBE, using Cu Kα (weighted mean of Kα1 and Kα2).

Structure:
Lattice parameters (Å, degrees): 5.0713 5.7862 20.2411 90.00 90.00 90.00
Sites, in units of the cell vectors:
Rb1 0.0000 0.0000 0.0000
Rb2 0.0000 0.5000 0.3213
Rb3 0.0000 0.5000 0.6787
Rb4 0.5000 0.0000 0.1787
Rb5 0.5000 0.0000 0.8213
Rb6 0.5000 0.5000 0.5000
Ge1 0.0000 0.0000 0.4406
Ge2 0.0000 0.0000 0.5594
Ge3 0.5000 0.5000 0.0594
Ge4 0.5000 0.5000 0.9406
Bi1 0.0000 0.5000 0.1235
Bi2 0.0000 0.5000 0.8765
Bi3 0.5000 0.0000 0.3765
Bi4 0.5000 0.0000 0.6235

Most intense lines, 2θ from 10° to 90°, by angle:
2θ 15.93, rel. 513; 2θ 17.53, rel. 342; 2θ 23.32, rel. 349; 2θ 24.95, rel. 452; 2θ 26.88, rel. 680; 2θ 29.32, rel. 1000; 2θ 30.91, rel. 494; 2θ 35.40, rel. 363; 2θ 35.75, rel. 361; 2θ 45.00, rel. 339